No. 1
# CaCrO2
Theoretical powder XRD pattern, a wavelength of 1.5418 Å. Input: DFT lattice parameters and positions (GGA+U).
Intensities are scaled so that the largest is 100.

Top 6 peaks for 10° ≤ 2θ ≤ 90°, sorted by position:
2θ 13.39, d = 6.614 Å, intensity 100; 2θ 26.96, d = 3.307 Å, intensity 46; 2θ 30.23, d = 2.957 Å, intensity 71; 2θ 31.40, d = 2.849 Å, intensity 58; 2θ 32.75, d = 2.734 Å, intensity 98; 2θ 46.87, d = 1.938 Å, intensity 62

Structure:
a b c (Å): 3.1099 9.0212 9.3761
angles (deg): 84.75 80.50 80.18
Element x y z (fractional)
1 Ca 0.0896 0.1376 0.1838
2 Ca 0.3576 0.2240 0.5583
3 Ca 0.6424 0.7760 0.4417
4 Ca 0.9104 0.8624 0.8162
5 Cr 0.2267 0.1813 0.8649
6 Cr 0.3658 0.4562 0.3114
7 Cr 0.6342 0.5438 0.6886
8 Cr 0.7733 0.8187 0.1351
9 O 0.0836 0.7064 0.6290
10 O 0.1629 0.8948 0.2822
11 O 0.1916 0.4018 0.7146
12 O 0.3488 0.8172 0.9848
13 O 0.6512 0.1828 0.0152
14 O 0.8084 0.5982 0.2854
15 O 0.8371 0.1052 0.7178
16 O 0.9164 0.2936 0.3710

=====

No. 2
# Ca2Cr9O13
Theoretical powder XRD pattern, a wavelength of 1.5418 Å. Input: DFT lattice parameters and positions (GGA+U).
Intensities are scaled so that the largest is 100.

Top 6 peaks for 10° ≤ 2θ ≤ 90°, sorted by position:
2θ 10.79, d = 8.197 Å, intensity 67; 2θ 34.39, d = 2.608 Å, intensity 100; 2θ 35.08, d = 2.558 Å, intensity 83; 2θ 38.90, d = 2.315 Å, intensity 55; 2θ 39.42, d = 2.286 Å, intensity 83; 2θ 42.31, d = 2.136 Å, intensity 54

Structure:
a b c (Å): 3.1090 5.2991 16.5938
angles (deg): 81.52 85.48 77.35
Element x y z (fractional)
1 Ca 0.2102 0.2415 0.2318
2 Ca 0.7898 0.7585 0.7682
3 Cr 0.0000 0.5000 0.5000
4 Cr 0.1516 0.7403 0.9605
5 Cr 0.2703 0.8972 0.5785
6 Cr 0.4706 0.6794 0.3386
7 Cr 0.4838 0.2217 0.8784
8 Cr 0.5162 0.7783 0.1216
9 Cr 0.5294 0.3206 0.6614
10 Cr 0.7297 0.1028 0.4215
11 Cr 0.8484 0.2597 0.0395
12 O 0.0365 0.4195 0.3766
13 O 0.1007 0.9825 0.8539
14 O 0.1120 0.5549 0.0820
15 O 0.1336 0.0600 0.6819
16 O 0.4331 0.4311 0.7697
17 O 0.4331 0.7796 0.4612
18 O 0.5000 0.0000 0.0000
19 O 0.5669 0.2204 0.5388
20 O 0.5669 0.5689 0.2303
21 O 0.8664 0.9400 0.3181
22 O 0.8880 0.4451 0.9180
23 O 0.8993 0.0175 0.1461
24 O 0.9635 0.5805 0.6234

=====

No. 3
# Ca2Cr2O5
Theoretical powder XRD pattern, a wavelength of 1.5418 Å. Input: DFT lattice parameters and positions (GGA+U).
Intensities are scaled so that the largest is 100.

Top 6 peaks for 10° ≤ 2θ ≤ 90°, sorted by position:
2θ 11.75, d = 7.530 Å, intensity 21; 2θ 31.81, d = 2.813 Å, intensity 40; 2θ 32.88, d = 2.724 Å, intensity 48; 2θ 33.01, d = 2.713 Å, intensity 100; 2θ 42.80, d = 2.113 Å, intensity 20; 2θ 46.40, d = 1.957 Å, intensity 46

Structure:
a b c (Å): 8.4870 8.4870 8.4870
angles (deg): 54.96 141.28 142.56
Element x y z (fractional)
1 Ca 0.0213 0.1043 0.1255
2 Ca 0.0213 0.3957 0.4170
3 Ca 0.9787 0.6043 0.5830
4 Ca 0.9787 0.8957 0.8745
5 Cr 0.4812 0.7953 0.1859
6 Cr 0.4931 0.4931 0.0000
7 Cr 0.4931 0.9931 0.5000
8 Cr 0.6094 0.2953 0.8141
9 O 0.0197 0.6498 0.8699
10 O 0.4160 0.1168 0.5707
11 O 0.4160 0.3453 0.7992
12 O 0.4976 0.2284 0.2357
13 O 0.4976 0.7620 0.7693
14 O 0.5461 0.6168 0.2008
15 O 0.5461 0.8453 0.4293
16 O 0.7800 0.1498 0.1301
17 O 0.9927 0.2620 0.7643
18 O 0.9927 0.7284 0.2307

=====

No. 4
# CaCrO2
Theoretical powder XRD pattern, a wavelength of 1.5418 Å. Input: DFT lattice parameters and positions (GGA+U).
Intensities are scaled so that the largest is 100.

Top 6 peaks for 10° ≤ 2θ ≤ 90°, sorted by position:
2θ 33.37, d = 2.685 Å, intensity 100; 2θ 37.68, d = 2.388 Å, intensity 73; 2θ 37.79, d = 2.381 Å, intensity 73; 2θ 40.65, d = 2.220 Å, intensity 56; 2θ 54.43, d = 1.686 Å, intensity 43; 2θ 56.66, d = 1.625 Å, intensity 72

Structure:
a b c (Å): 4.7612 4.7750 8.8784
angles (deg): 90.00 90.00 90.00
Element x y z (fractional)
1 Ca 0.0000 0.2500 0.1250
2 Ca 0.0000 0.7500 0.8750
3 Ca 0.5000 0.2500 0.3750
4 Ca 0.5000 0.7500 0.6250
5 Cr 0.0000 0.2500 0.6250
6 Cr 0.0000 0.7500 0.3750
7 Cr 0.5000 0.2500 0.8750
8 Cr 0.5000 0.7500 0.1250
9 O 0.0000 0.2500 0.3900
10 O 0.0000 0.2500 0.8601
11 O 0.0000 0.7500 0.1399
12 O 0.0000 0.7500 0.6100
13 O 0.5000 0.2500 0.1100
14 O 0.5000 0.2500 0.6399
15 O 0.5000 0.7500 0.3601
16 O 0.5000 0.7500 0.8900